1.
Structure and simulated PXRD pattern of Ba2YTlCo2O7 (DFT lattice parameters and positions (PBE+U); copper Kα).
Neutral-atom scattering factors, no anomalous dispersion.

Largest 10 diffraction maxima, low angle first, 2θ from 5° to 70°:
2theta, I/Imax, hkl
26.50, 45.4, 1 0 -2
26.68, 44.6, 0 2 2
30.85, 100.0, 1 0 -3
31.01, 98.8, 0 2 3
31.98, 68.3, 1 -2 0
32.26, 71.1, 1 2 0
35.16, 36.6, 0 0 5
45.84, 35.3, 2 0 0
46.29, 34.1, 0 4 0
56.53, 35.3, 2 2 -3

Cell and atoms:
```
data_Ba2YTlCo2O7
_chemical_formula_sum 'Ba4 Y2 Tl2 Co4 O14'
_cell_length_a 3.9592
_cell_length_b 7.8451
_cell_length_c 12.7618
_cell_angle_alpha 90.01
_cell_angle_beta 90.01
_cell_angle_gamma 90.49
_space_group_name_H-M_alt 'P 1'
_space_group_IT_number 1
_space_group_name_Hall 'P 1'
loop_
_atom_site_label
_atom_site_type_symbol
_atom_site_fract_x
_atom_site_fract_y
_atom_site_fract_z
_atom_site_occupancy
Ba1 Ba 0.0000 0.0000 0.0000 1
Ba2 Ba 0.0007 0.0081 0.5868 1
Ba3 Ba 0.9972 0.5091 0.9994 1
Ba4 Ba 0.9995 0.5004 0.5858 1
Y1 Y 0.0017 0.0086 0.2899 1
Y2 Y 0.9991 0.4997 0.2902 1
Tl1 Tl 0.5329 0.7339 0.7905 1
Tl2 Tl 0.5426 0.2378 0.7980 1
Co1 Co 0.4951 0.2551 0.1497 1
Co2 Co 0.4995 0.7543 0.4169 1
Co3 Co 0.5002 0.2541 0.4189 1
Co4 Co 0.5014 0.7541 0.1682 1
O1 O 0.0003 0.2536 0.4032 1
O2 O 0.0002 0.7540 0.4055 1
O3 O 0.0021 0.7531 0.1791 1
O4 O 0.0030 0.2540 0.1762 1
O5 O 0.4890 0.2593 0.6310 1
O6 O 0.4899 0.7587 0.9539 1
O7 O 0.4911 0.7594 0.6265 1
O8 O 0.4923 0.2592 0.9697 1
O9 O 0.5009 0.0089 0.4061 1
O10 O 0.5013 0.4994 0.4067 1
O11 O 0.5023 0.5078 0.1808 1
O12 O 0.5036 0.9998 0.1795 1
O13 O 0.9379 0.5234 0.7930 1
O14 O 0.9594 0.0385 0.7950 1
```

2.
Structure and simulated PXRD pattern of Ba2YTlCo2O7 (DFT lattice parameters and positions (PBE+U); copper Kα).
Neutral-atom scattering factors, no anomalous dispersion.

Largest 10 diffraction maxima, low angle first, 2θ from 5° to 70°:
2theta, I/Imax, hkl
6.96, 14.3, 0 0 2
23.60, 13.8, 0 1 2
26.59, 38.0, 1 0 4
30.98, 100.0, 1 0 6
31.07, 33.9, 1 0 -6
31.98, 44.9, 1 1 0
32.22, 44.5, 1 -1 0
35.36, 21.2, 0 0 10
45.93, 21.4, 0 2 0
46.14, 23.7, 2 0 0

Cell and atoms:
```
data_Ba2YTlCo2O7
_chemical_formula_sum 'Ba4 Y2 Tl2 Co4 O14'
_cell_length_a 3.9351
_cell_length_b 3.9520
_cell_length_c 25.3856
_cell_angle_alpha 89.91
_cell_angle_beta 89.88
_cell_angle_gamma 89.57
_space_group_name_H-M_alt 'P 1'
_space_group_IT_number 1
_space_group_name_Hall 'P 1'
loop_
_atom_site_label
_atom_site_type_symbol
_atom_site_fract_x
_atom_site_fract_y
_atom_site_fract_z
_atom_site_occupancy
Ba1 Ba 0.0000 0.0000 0.0000 1
Ba2 Ba 0.0005 0.9954 0.2920 1
Ba3 Ba 0.0070 0.9987 0.5009 1
Ba4 Ba 0.9983 0.9991 0.7931 1
Y1 Y 0.0016 0.9959 0.1465 1
Y2 Y 0.0028 0.9974 0.6472 1
Tl1 Tl 0.4983 0.5686 0.8963 1
Tl2 Tl 0.5131 0.5129 0.3964 1
Co1 Co 0.5012 0.4955 0.2164 1
Co2 Co 0.5014 0.4971 0.0777 1
Co3 Co 0.5005 0.4967 0.7172 1
Co4 Co 0.5043 0.4976 0.5772 1
O1 O 0.0007 0.4984 0.0860 1
O2 O 0.0018 0.4965 0.1987 1
O3 O 0.0015 0.4985 0.5949 1
O4 O 0.0028 0.4986 0.7077 1
O5 O 0.4973 0.4840 0.9806 1
O6 O 0.4975 0.4853 0.8117 1
O7 O 0.4990 0.4937 0.2967 1
O8 O 0.5013 0.9988 0.7081 1
O9 O 0.5020 0.9961 0.1990 1
O10 O 0.5017 0.9966 0.0859 1
O11 O 0.5038 0.4965 0.4968 1
O12 O 0.5036 0.9969 0.5950 1
O13 O 0.9403 0.9270 0.3965 1
O14 O 0.9944 0.8896 0.8964 1
```

3.
Structure and simulated PXRD pattern of Ba2Tl2Zn2Co3O10 (DFT lattice parameters and positions (PBE+U); copper Kα).
Neutral-atom scattering factors, no anomalous dispersion.

Largest 10 diffraction maxima, low angle first, 2θ from 5° to 70°:
2theta, I/Imax, hkl
26.06, 29.9, 0 1 -3
28.13, 30.6, 0 1 3
28.89, 100.0, 1 0 3
31.44, 20.4, 0 1 4
32.22, 83.3, 1 -1 0
32.50, 59.1, 1 1 -1
35.00, 31.5, 0 0 7
45.92, 27.3, 0 2 -1
46.91, 18.3, 2 0 -1
47.92, 16.7, 1 1 6

Cell and atoms:
```
data_Ba2Tl2Zn2Co3O10
_chemical_formula_sum 'Ba2 Tl2 Zn2 Co3 O10'
_cell_length_a 3.8737
_cell_length_b 3.9541
_cell_length_c 18.1066
_cell_angle_alpha 94.70
_cell_angle_beta 95.94
_cell_angle_gamma 90.45
_space_group_name_H-M_alt 'P 1'
_space_group_IT_number 1
_space_group_name_Hall 'P 1'
loop_
_atom_site_label
_atom_site_type_symbol
_atom_site_fract_x
_atom_site_fract_y
_atom_site_fract_z
_atom_site_occupancy
Ba1 Ba 0.0000 0.0000 0.0000 1
Ba2 Ba 0.2823 0.3365 0.5555 1
Tl1 Tl 0.3565 0.4435 0.8434 1
Tl2 Tl 0.7950 0.8955 0.7148 1
Zn1 Zn 0.0187 0.0732 0.1900 1
Zn2 Zn 0.1329 0.2168 0.3622 1
Co1 Co 0.4724 0.7042 0.2794 1
Co2 Co 0.5508 0.5474 0.1224 1
Co3 Co 0.7320 0.7823 0.4341 1
O1 O 0.0616 0.5530 0.1243 1
O2 O 0.2476 0.8023 0.4497 1
O3 O 0.3966 0.2164 0.2702 1
O4 O 0.4475 0.3975 0.7267 1
O5 O 0.4784 0.4860 0.9609 1
O6 O 0.5861 0.0451 0.1151 1
O7 O 0.7475 0.2847 0.4287 1
O8 O 0.8026 0.8513 0.5983 1
O9 O 0.9600 0.7553 0.2933 1
O10 O 0.9945 0.9370 0.8325 1
```

4.
Structure and simulated PXRD pattern of BaTmCo4O7 (DFT lattice parameters and positions (PBE+U); copper Kα).
Neutral-atom scattering factors, no anomalous dispersion.

Largest 10 diffraction maxima, low angle first, 2θ from 5° to 70°:
2theta, I/Imax, hkl
28.05, 63.2, 1 3 0
30.68, 50.9, 1 1 -3
30.87, 100.0, 1 1 3
33.11, 89.3, 1 3 -2
33.22, 47.7, 1 3 2
33.49, 37.3, 2 2 -1
33.62, 37.0, 2 2 1
33.76, 37.5, 0 4 1
56.05, 40.1, 0 4 5
57.98, 38.3, 2 6 0

Cell and atoms:
```
data_BaTmCo4O7
_chemical_formula_sum 'Ba4 Tm4 Co16 O28'
_cell_length_a 6.4033
_cell_length_b 10.9978
_cell_length_c 10.2353
_cell_angle_alpha 90.00
_cell_angle_beta 90.50
_cell_angle_gamma 90.00
_space_group_name_H-M_alt 'C 1 c 1'
_space_group_IT_number 9
_space_group_name_Hall 'C -2yc'
loop_
_atom_site_label
_atom_site_type_symbol
_atom_site_fract_x
_atom_site_fract_y
_atom_site_fract_z
_atom_site_occupancy
Ba1 Ba 0.0000 0.1663 0.0000 1
Tm1 Tm 0.0013 0.1674 0.6261 1
Co1 Co 0.0164 0.3300 0.3083 1
Co2 Co 0.2425 0.0773 0.3085 1
Co3 Co 0.2470 0.4094 0.8063 1
Co4 Co 0.4990 0.0011 0.5493 1
O1 O 0.0557 0.3377 0.5000 1
O2 O 0.2246 0.3992 0.9995 1
O3 O 0.2324 0.0556 0.5025 1
O4 O 0.2570 0.2416 0.7461 1
O5 O 0.2620 0.2428 0.2446 1
O6 O 0.4869 0.4988 0.2465 1
O7 O 0.4985 0.0012 0.7391 1
```

Copy entry 2 word for word.
Structure and simulated PXRD pattern of Ba2YTlCo2O7 (DFT lattice parameters and positions (PBE+U); copper Kα).
Neutral-atom scattering factors, no anomalous dispersion.

Largest 10 diffraction maxima, low angle first, 2θ from 5° to 70°:
2theta, I/Imax, hkl
6.96, 14.3, 0 0 2
23.60, 13.8, 0 1 2
26.59, 38.0, 1 0 4
30.98, 100.0, 1 0 6
31.07, 33.9, 1 0 -6
31.98, 44.9, 1 1 0
32.22, 44.5, 1 -1 0
35.36, 21.2, 0 0 10
45.93, 21.4, 0 2 0
46.14, 23.7, 2 0 0

Cell and atoms:
```
data_Ba2YTlCo2O7
_chemical_formula_sum 'Ba4 Y2 Tl2 Co4 O14'
_cell_length_a 3.9351
_cell_length_b 3.9520
_cell_length_c 25.3856
_cell_angle_alpha 89.91
_cell_angle_beta 89.88
_cell_angle_gamma 89.57
_space_group_name_H-M_alt 'P 1'
_space_group_IT_number 1
_space_group_name_Hall 'P 1'
loop_
_atom_site_label
_atom_site_type_symbol
_atom_site_fract_x
_atom_site_fract_y
_atom_site_fract_z
_atom_site_occupancy
Ba1 Ba 0.0000 0.0000 0.0000 1
Ba2 Ba 0.0005 0.9954 0.2920 1
Ba3 Ba 0.0070 0.9987 0.5009 1
Ba4 Ba 0.9983 0.9991 0.7931 1
Y1 Y 0.0016 0.9959 0.1465 1
Y2 Y 0.0028 0.9974 0.6472 1
Tl1 Tl 0.4983 0.5686 0.8963 1
Tl2 Tl 0.5131 0.5129 0.3964 1
Co1 Co 0.5012 0.4955 0.2164 1
Co2 Co 0.5014 0.4971 0.0777 1
Co3 Co 0.5005 0.4967 0.7172 1
Co4 Co 0.5043 0.4976 0.5772 1
O1 O 0.0007 0.4984 0.0860 1
O2 O 0.0018 0.4965 0.1987 1
O3 O 0.0015 0.4985 0.5949 1
O4 O 0.0028 0.4986 0.7077 1
O5 O 0.4973 0.4840 0.9806 1
O6 O 0.4975 0.4853 0.8117 1
O7 O 0.4990 0.4937 0.2967 1
O8 O 0.5013 0.9988 0.7081 1
O9 O 0.5020 0.9961 0.1990 1
O10 O 0.5017 0.9966 0.0859 1
O11 O 0.5038 0.4965 0.4968 1
O12 O 0.5036 0.9969 0.5950 1
O13 O 0.9403 0.9270 0.3965 1
O14 O 0.9944 0.8896 0.8964 1
```